# Na4PmNp3S8
Computed powder XRD pattern, a wavelength of 1.5418 Å. Input: the PBE geometry in Alexandria.
Kinematic intensities with the Lorentz-polarization factor, no thermal factor.

Cell and atoms:
Cell lengths 8.133, 8.133, 8.133 Å; angles 59.62, 59.62, 59.62 degrees
Sites, in units of the cell vectors:
Na 0.000 0.000 0.000
Na 0.000 0.500 0.500
Na 0.500 0.000 0.500
Na 0.500 0.500 0.000
Pm 0.500 0.500 0.500
Np 0.000 0.000 0.500
Np 0.000 0.500 0.000
Np 0.500 0.000 0.000
S 0.238 0.746 0.746
S 0.241 0.241 0.241
S 0.254 0.254 0.762
S 0.254 0.762 0.254
S 0.746 0.238 0.746
S 0.746 0.746 0.238
S 0.759 0.759 0.759
S 0.762 0.254 0.254

Most intense lines, 10 to 90 degrees two-theta, by angle:
2θ 13.3, d 6.659, intensity 100; 2θ 25.8, d 3.449, intensity 59; 2θ 27.0, d 3.304, intensity 43; 2θ 31.2, d 2.867, intensity 98; 2θ 44.6, d 2.033, intensity 35; 2θ 44.8, d 2.021, intensity 36

=====

# Na12Ag2Pb
Computed powder XRD pattern, a wavelength of 1.5418 Å. Input: the PBE geometry in Alexandria.
Kinematic intensities with the Lorentz-polarization factor, no thermal factor.

Cell and atoms:
Cell lengths 6.448, 6.448, 26.031 Å; angles 90.00, 90.00, 90.00 degrees
Sites, in units of the cell vectors:
Na 0.000 0.000 0.091
Na 0.000 0.000 0.909
Na 0.000 0.500 0.091
Na 0.000 0.500 0.909
Na 0.067 0.567 0.438
Na 0.067 0.933 0.562
Na 0.250 0.250 0.200
Na 0.250 0.250 0.330
Na 0.250 0.250 0.670
Na 0.250 0.250 0.800
Na 0.433 0.567 0.562
Na 0.433 0.933 0.438
Na 0.500 0.000 0.091
Na 0.500 0.000 0.909
Na 0.500 0.500 0.091
Na 0.500 0.500 0.909
Na 0.567 0.067 0.562
Na 0.567 0.433 0.438
Na 0.750 0.750 0.200
Na 0.750 0.750 0.330
Na 0.750 0.750 0.670
Na 0.750 0.750 0.800
Na 0.933 0.067 0.438
Na 0.933 0.433 0.562
Ag 0.250 0.750 0.179
Ag 0.250 0.750 0.821
Ag 0.750 0.250 0.179
Ag 0.750 0.250 0.821
Pb 0.250 0.750 0.000
Pb 0.750 0.250 0.000

Most intense lines, 10 to 90 degrees two-theta, by angle:
2θ 19.5, d 4.559, intensity 67; 2θ 19.8, d 4.491, intensity 93; 2θ 26.0, d 3.430, intensity 76; 2θ 28.4, d 3.143, intensity 49; 2θ 32.7, d 2.741, intensity 72; 2θ 34.7, d 2.588, intensity 100